(1)
This entry pairs a crystal structure of TbSm2In2Hg2 with its theoretical X-ray powder pattern. Radiation: Cu Kα X-rays. Structure: a structure optimized by DFT (PBE).
Lines closer than 0.1° are merged.

Cell and atoms:
a = 4.9536 Å, b = 4.9536 Å, c = 27.1356 Å
α = 90.00°, β = 90.00°, γ = 120.00°
Space group R-3m (No. 166, hexagonal axes)
Unique sites:
Tb  0.0000  0.0000  0.0000 (multiplicity 3)
Sm  0.0000  0.0000  0.1293 (multiplicity 6)
In  0.0000  0.0000  0.2701 (multiplicity 6)
Hg  0.0000  0.0000  0.4167 (multiplicity 6)

Top 10 peaks for 2θ = 10–90°, by angle:
(hkl), 2θ (°), I/Imax
0 0 6, 19.63, 15
1 0 7, 31.09, 100
0 1 8, 33.68, 13
1 1 0, 36.27, 91
1 1 6, 41.57, 14
0 2 7, 48.50, 39
2 1 7, 62.04, 35
1 1 15, 63.68, 17
3 0 0, 65.25, 16
1 3 7, 85.34, 14


(2)
This entry pairs a crystal structure of TbSm2In3Hg6 with its theoretical X-ray powder pattern. Radiation: Cu Kα X-rays. Structure: a structure optimized by DFT (PBE).
Lines closer than 0.1° are merged.

Cell and atoms:
a = 4.266 Å, b = 4.266 Å, c = 20.358 Å
α = 90.00°, β = 90.00°, γ = 90.00°
Space group P4/mmm (No. 123)
Unique sites:
Tb  0.000  0.000  0.000 (multiplicity 1)
Sm  0.000  0.000  0.283 (multiplicity 2)
In  0.500  0.500  0.220 (multiplicity 2)
In  0.500  0.500  0.500 (multiplicity 1)
Hg  0.000  0.500  0.113 (multiplicity 4)
Hg  0.500  0.500  0.363 (multiplicity 2)

Top 10 peaks for 2θ = 10–90°, by angle:
(hkl), 2θ (°), I/Imax
1 0 1, 21.28, 54
1 1 1, 29.94, 90
1 1 3, 32.48, 73
1 1 4, 34.56, 92
1 1 5, 37.09, 55
1 0 7, 37.42, 98
2 0 0, 42.37, 100
2 0 8, 56.27, 34
2 1 7, 57.80, 55
1 1 14, 72.10, 34